# CeTmBiTe
Simulated XRD peak list, Cu Kα, 1.54184 Å. Input: DFT lattice parameters and positions (PBE).

Main lines, in order of falling intensity (10 to 90 degrees two-theta):
- 30.5°, rel. 100, (0 1 5)
- 35.9°, rel. 63, (1 0 7)
- 41.6°, rel. 59, (1 1 0)
- 24.9°, rel. 52, (0 1 2)
- 64.0°, rel. 32, (1 1 12)
- 52.4°, rel. 22, (2 0 5)
- 69.1°, rel. 20, (1 2 5)
- 56.1°, rel. 18, (0 2 7)
- 72.2°, rel. 17, (2 1 7)
- 46.4°, rel. 14, (0 0 12)

Atomic structure:
Unit cell a=4.339 b=4.339 c=23.507 alpha=90.00 beta=90.00 gamma=120.00
Element x y z (fractional)
Ce  0.000  0.000  0.000
Ce  0.333  0.667  0.667
Ce  0.667  0.333  0.333
Tm  0.000  0.000  0.827
Tm  0.333  0.667  0.494
Tm  0.667  0.333  0.161
Bi  0.000  0.000  0.417
Bi  0.333  0.667  0.083
Bi  0.667  0.333  0.750
Te  0.000  0.000  0.578
Te  0.333  0.667  0.244
Te  0.667  0.333  0.911